No. 1
# Sm5Ru2
Computed X-ray powder pattern, CuKα. Input: a cell relaxed with GGA-PBE.
Lines closer than 0.1° are merged.

Cell and atoms:
```
data_Sm5Ru2
_chemical_formula_sum 'Sm20 Ru8'
_cell_length_a 16.2101
_cell_length_b 6.5161
_cell_length_c 7.3481
_cell_angle_alpha 90.00
_cell_angle_beta 97.07
_cell_angle_gamma 90.00
_space_group_name_H-M_alt 'C 1 2/c 1'
_space_group_IT_number 15
loop_
_space_group_symop_operation_xyz
'x,y,z'
'-x,-y,-z'
'-x,y,-z+1/2'
'x,-y,z+1/2'
'x+1/2,y+1/2,z'
'-x+1/2,-y+1/2,-z'
'-x+1/2,y+1/2,-z+1/2'
'x+1/2,-y+1/2,z+1/2'
loop_
_atom_site_label
_atom_site_fract_x
_atom_site_fract_y
_atom_site_fract_z
Sm1 0.0000 0.0769 0.2500
Sm2 0.0930 0.3893 0.9134
Sm3 0.2164 0.0764 0.3128
Ru1 0.1113 0.2136 0.5752
```

Largest 10 diffraction maxima, in order of rising 2θ, 15 to 90 degrees two-theta:
| 2θ/deg | I (rel.) | h k l |
| --- | --- | --- |
| 28.02 | 39 | 1 1 -2 |
| 30.04 | 56 | 0 2 1 |
| 31.00 | 100 | 5 1 0 |
| 31.11 | 33 | 3 1 -2 |
| 32.61 | 31 | 2 2 1 |
| 34.28 | 30 | 3 1 2 |
| 34.68 | 34 | 5 1 1 |
| 35.20 | 24 | 4 0 2 |
| 39.31 | 31 | 1 1 -3 |
| 51.72 | 29 | 1 1 -4 |

***

No. 2
# CePmSi2Pt5
Computed X-ray powder pattern, CuKα. Input: a cell relaxed with GGA-PBE.
Lines closer than 0.1° are merged.

Cell and atoms:
```
data_CePmSi2Pt5
_chemical_formula_sum 'Ce1 Pm1 Si2 Pt5'
_cell_length_a 4.2870
_cell_length_b 4.2870
_cell_length_c 8.9281
_cell_angle_alpha 90.00
_cell_angle_beta 90.00
_cell_angle_gamma 90.00
_space_group_name_H-M_alt 'P 4/m m m'
_space_group_IT_number 123
_space_group_name_Hall '-P 4 2'
loop_
_atom_site_label
_atom_site_fract_x
_atom_site_fract_y
_atom_site_fract_z
Ce1 0.0000 0.0000 0.0000
Pm1 0.0000 0.0000 0.5000
Si1 0.5000 0.5000 0.1351
Pt1 0.0000 0.5000 0.2631
Pt2 0.5000 0.5000 0.5000
```

Largest 10 diffraction maxima, in order of rising 2θ, 15 to 90 degrees two-theta:
| 2θ/deg | I (rel.) | h k l |
| --- | --- | --- |
| 19.89 | 6 | 0 0 2 |
| 35.81 | 100 | 1 1 2 |
| 40.41 | 16 | 0 0 4 |
| 42.16 | 36 | 2 0 0 |
| 42.57 | 8 | 1 1 3 |
| 59.82 | 20 | 2 0 4 |
| 61.15 | 12 | 2 2 0 |
| 70.50 | 13 | 1 1 6 |
| 72.93 | 26 | 3 1 2 |
| 75.88 | 10 | 2 2 4 |

***

No. 3
# BaPu2CuO8
Computed X-ray powder pattern, CuKα. Input: a cell relaxed with GGA-PBE.
Lines closer than 0.1° are merged.

Cell and atoms:
```
data_BaPu2CuO8
_chemical_formula_sum 'Ba1 Pu2 Cu1 O8'
_cell_length_a 5.2588
_cell_length_b 5.2663
_cell_length_c 6.9779
_cell_angle_alpha 88.61
_cell_angle_beta 88.51
_cell_angle_gamma 82.45
_space_group_name_H-M_alt 'P -1'
_space_group_IT_number 2
loop_
_space_group_symop_operation_xyz
'x,y,z'
'-x,-y,-z'
loop_
_atom_site_label
_atom_site_fract_x
_atom_site_fract_y
_atom_site_fract_z
Ba1 0.0000 0.0000 0.0000
Pu1 0.4975 0.4985 0.2616
Cu1 0.0000 0.0000 0.5000
O1 0.2196 0.7763 0.7074
O2 0.2211 0.7806 0.2938
O3 0.3370 0.3367 0.4959
O4 0.3435 0.3420 0.9856
```

Largest 10 diffraction maxima, in order of rising 2θ, 15 to 90 degrees two-theta:
| 2θ/deg | I (rel.) | h k l |
| --- | --- | --- |
| 17.00 | 62 | 1 0 0 |
| 22.48 | 100 | 1 1 0 |
| 25.69 | 65 | 1 -1 0 |
| 30.52 | 72 | 1 0 2 |
| 31.17 | 65 | 0 1 -2 |
| 34.39 | 45 | 2 0 0 |
| 44.34 | 35 | 2 1 2 |
| 45.73 | 31 | 1 2 -2 |
| 48.41 | 23 | 2 -1 2 |
| 48.85 | 22 | 1 -2 2 |

***

No. 4
# PrDyPuSc
Computed X-ray powder pattern, CuKα. Input: a cell relaxed with GGA-PBE.
Lines closer than 0.1° are merged.

Cell and atoms:
```
data_PrDyPuSc
_chemical_formula_sum 'Pr4 Dy4 Pu4 Sc4'
_cell_length_a 7.8241
_cell_length_b 7.8241
_cell_length_c 7.8241
_cell_angle_alpha 90.00
_cell_angle_beta 90.00
_cell_angle_gamma 90.00
_space_group_name_H-M_alt 'F -4 3 m'
_space_group_IT_number 216
_space_group_name_Hall 'F -4 2 3'
loop_
_atom_site_label
_atom_site_fract_x
_atom_site_fract_y
_atom_site_fract_z
Pr1 0.0000 0.0000 0.0000
Dy1 0.2500 0.2500 0.2500
Pu1 0.0000 0.0000 0.5000
Sc1 0.2500 0.2500 0.7500
```

Largest 10 diffraction maxima, in order of rising 2θ, 15 to 90 degrees two-theta:
| 2θ/deg | I (rel.) | h k l |
| --- | --- | --- |
| 19.65 | 14 | 1 1 1 |
| 22.73 | 10 | 2 0 0 |
| 32.36 | 100 | 2 2 0 |
| 38.15 | 8 | 3 1 1 |
| 46.42 | 18 | 4 0 0 |
| 52.29 | 5 | 4 2 0 |
| 57.72 | 39 | 4 2 2 |
| 67.75 | 12 | 4 4 0 |
| 77.10 | 17 | 6 2 0 |
| 86.10 | 4 | 4 4 4 |

***

No. 5
# Sr5Tl2Hg
Computed X-ray powder pattern, CuKα. Input: a cell relaxed with GGA-PBE.
Lines closer than 0.1° are merged.

Cell and atoms:
```
data_Sr5Tl2Hg
_chemical_formula_sum 'Sr10 Tl4 Hg2'
_cell_length_a 7.4591
_cell_length_b 14.0722
_cell_length_c 5.7315
_cell_angle_alpha 90.00
_cell_angle_beta 90.00
_cell_angle_gamma 90.00
_space_group_name_H-M_alt 'P b a m'
_space_group_IT_number 55
loop_
_space_group_symop_operation_xyz
'x,y,z'
'-x,-y,-z'
'-x,-y,z'
'x,y,-z'
'x+1/2,-y+1/2,-z'
'-x+1/2,y+1/2,z'
'-x+1/2,y+1/2,-z'
'x+1/2,-y+1/2,z'
loop_
_atom_site_label
_atom_site_fract_x
_atom_site_fract_y
_atom_site_fract_z
Sr1 0.0000 0.0000 0.0000
Sr2 0.1377 0.2809 0.0000
Sr3 0.1684 0.6045 0.5000
Tl1 0.1347 0.8629 0.5000
Hg1 0.0000 0.5000 0.0000
```

Largest 10 diffraction maxima, in order of rising 2θ, 15 to 90 degrees two-theta:
| 2θ/deg | I (rel.) | h k l |
| --- | --- | --- |
| 20.54 | 30 | 1 1 1 |
| 28.55 | 20 | 2 0 1 |
| 29.27 | 74 | 2 1 1 |
| 29.80 | 100 | 0 4 1 |
| 30.62 | 25 | 2 3 0 |
| 31.21 | 53 | 0 0 2 |
| 31.31 | 21 | 2 2 1 |
| 44.29 | 18 | 2 3 2 |
| 54.33 | 17 | 2 1 3 |
| 54.67 | 19 | 0 4 3 |